The following is a computed X-ray diffraction stick pattern of CsBaCrH6. It was derived from the GGA-PBE geometry in Alexandria, using Cu Kα (λ = 1.5418 Å).

Structure:
Unit cell a=9.771 b=5.645 c=5.312 alpha=90.00 beta=90.06 gamma=90.00
Space group Cm (No. 8)
Symmetry-distinct sites (fractional):
Cs 0.000 0.000 0.000 [2 per cell]
Ba 0.333 0.000 0.538 [2 per cell]
Cr 0.167 0.500 0.341 [2 per cell]
H 0.014 0.500 0.169 [2 per cell]
H 0.093 0.280 0.528 [4 per cell]
H 0.243 0.271 0.169 [4 per cell]
H 0.314 0.500 0.527 [2 per cell]

Main lines, in order of falling intensity (2θ = 10–80°):
d/Å	intensity	index
3.596	100	1 1 1
2.821	47	3 1 0
2.220	28	4 0 1
1.745	25	4 2 1
2.334	17	2 0 2
1.934	16	3 1 2
1.313	10	7 1 1
4.887	10	2 0 0
1.665	10	1 1 3
1.629	9	6 0 0

The following is a computed X-ray diffraction stick pattern of Ba2CrCu. It was derived from the GGA-PBE geometry in Alexandria, using Cu Kα (λ = 1.5418 Å).

Structure:
Unit cell a=3.791 b=3.791 c=9.290 alpha=90.00 beta=90.00 gamma=90.00
Space group P4mm (No. 99)
Symmetry-distinct sites (fractional):
Ba 0.000 0.000 0.000 [1 per cell]
Ba 0.500 0.500 0.411 [1 per cell]
Cr 0.000 0.000 0.667 [1 per cell]
Cu 0.500 0.500 0.755 [1 per cell]

Main lines, in order of falling intensity (2θ = 10–80°):
d/Å	intensity	index
3.510	100	1 0 1
2.681	77	1 1 0
2.937	56	1 0 2
2.398	53	1 0 3
2.027	35	1 1 3
3.097	30	0 0 3
1.895	27	2 0 0
1.668	25	2 1 1
1.487	23	2 1 3
1.433	21	1 0 6